Record 1
Starting from a cell relaxed with PBE, the powder diffractogram of Cs4Rb2Na was simulated for Cu Kα.
Kinematic intensities with the Lorentz-polarization factor, no thermal factor.

Structural model:
Cell: 13.377 13.377 13.377 Å, 95.43 95.43 144.16°
Positions (direct):
Cs1 0.095 0.796 0.891
Cs2 0.204 0.095 0.299
Cs3 0.296 0.595 0.891
Cs4 0.405 0.296 0.701
Cs5 0.595 0.704 0.299
Cs6 0.704 0.405 0.109
Cs7 0.796 0.905 0.701
Cs8 0.905 0.204 0.109
Rb1 0.098 0.402 0.500
Rb2 0.402 0.902 0.303
Rb3 0.598 0.098 0.697
Rb4 0.902 0.598 0.500
Na1 0.250 0.250 0.000
Na2 0.750 0.750 0.000

Most intense lines, 2θ = 10–90°, by angle:
d [Å]	2θ/deg	intensity
4.269	20.8	100.0
4.116	21.6	25.0
3.857	23.1	22.0
3.530	25.2	14.3
2.680	33.4	9.6
2.546	35.3	16.1
2.405	37.4	21.9
2.368	38.0	16.1
2.165	41.7	22.7
2.041	44.4	17.3
1.671	54.9	9.9
1.649	55.7	7.3


Record 2
Starting from a cell relaxed with PBE, the powder diffractogram of K2Tl9Pt3 was simulated for Cu Kα.
Kinematic intensities with the Lorentz-polarization factor, no thermal factor.

Structural model:
Cell: 8.643 8.643 11.848 Å, 108.82 108.82 74.13°
Positions (direct):
K1 0.038 0.240 0.267
K2 0.240 0.038 0.767
K3 0.760 0.962 0.233
K4 0.962 0.760 0.733
Tl1 0.075 0.831 0.058
Tl2 0.137 0.345 0.591
Tl3 0.169 0.925 0.442
Tl4 0.199 0.553 0.243
Tl5 0.301 0.457 0.943
Tl6 0.345 0.137 0.091
Tl7 0.399 0.601 0.750
Tl8 0.447 0.801 0.257
Tl9 0.457 0.301 0.443
Tl10 0.543 0.699 0.557
Tl11 0.553 0.199 0.743
Tl12 0.601 0.399 0.250
Tl13 0.655 0.863 0.909
Tl14 0.699 0.543 0.057
Tl15 0.801 0.447 0.757
Tl16 0.831 0.075 0.558
Tl17 0.863 0.655 0.409
Tl18 0.925 0.169 0.942
Pt1 0.000 0.500 0.000
Pt2 0.216 0.600 0.499
Pt3 0.400 0.784 0.001
Pt4 0.500 0.000 0.500
Pt5 0.600 0.216 0.999
Pt6 0.784 0.400 0.501

Most intense lines, 2θ = 10–90°, by angle:
d [Å]	2θ/deg	intensity
8.033	11.0	57.1
5.419	16.4	52.2
2.967	30.1	100.0
2.860	31.3	85.9
2.771	32.3	69.3
2.719	32.9	45.9
2.709	33.1	25.9
2.603	34.5	27.8
2.478	36.3	33.6
2.456	36.6	48.4
2.297	39.2	47.9
2.261	39.9	25.9


Record 3
Starting from a cell relaxed with PBE, the powder diffractogram of LiSmAl2Pt4 was simulated for Cu Kα.
Kinematic intensities with the Lorentz-polarization factor, no thermal factor.

Structural model:
Cell: 8.900 8.900 8.900 Å, 27.73 27.73 27.73°
Positions (direct):
Li1 0.000 0.000 0.000
Sm1 0.500 0.500 0.500
Al1 0.264 0.264 0.264
Al2 0.736 0.736 0.736
Pt1 0.096 0.096 0.096
Pt2 0.368 0.368 0.368
Pt3 0.632 0.632 0.632
Pt4 0.904 0.904 0.904

Most intense lines, 2θ = 10–90°, by angle:
d [Å]	2θ/deg	intensity
3.550	25.1	16.8
3.202	27.9	66.5
2.998	29.8	32.8
2.602	34.5	74.4
2.422	37.1	54.2
2.133	42.4	100.0
1.972	46.0	33.0
1.650	55.7	19.2
1.601	57.6	15.4
1.334	70.6	32.8
1.305	72.4	17.7
1.232	77.5	17.3


Record 4
Starting from a cell relaxed with PBE, the powder diffractogram of Mg3GaSn4 was simulated for Cu Kα.
Kinematic intensities with the Lorentz-polarization factor, no thermal factor.

Structural model:
Cell: 4.409 4.556 9.536 Å, 90.00 90.00 90.00°
Positions (direct):
Mg1 0.000 0.000 0.000
Mg2 0.000 0.500 0.258
Mg3 0.000 0.500 0.742
Ga1 0.000 0.000 0.500
Sn1 0.500 0.000 0.251
Sn2 0.500 0.000 0.749
Sn3 0.500 0.500 0.000
Sn4 0.500 0.500 0.500

Most intense lines, 2θ = 10–90°, by angle:
d [Å]	2θ/deg	intensity
4.409	20.1	24.5
3.294	27.1	24.4
2.639	34.0	100.0
2.384	37.7	18.8
2.278	39.6	16.6
2.205	40.9	15.1
1.647	55.8	12.2
1.619	56.9	11.6
1.421	65.7	15.1
1.375	68.2	13.7
1.342	70.1	12.6
1.319	71.5	11.9